[1]
Computed X-ray powder pattern
Compound: Hf2InPd2
Radiation: Cu Kα (λ = 1.5418 Å)
Structure: a DFT-relaxed cell (GGA-PBE, the Materials Project)
No peak broadening, texture or thermal motion is included.

Peak list (6 most intense, 10° ≤ 2θ ≤ 90°, by intensity)
2θ 37.59, rel. 100; 2θ 37.79, rel. 46; 2θ 35.58, rel. 27; 2θ 67.72, rel. 16; 2θ 73.20, rel. 15; 2θ 57.27, rel. 14

```
Hf2InPd2
1.0
7.5279 0.0000 0.0000
0.0000 7.5279 0.0000
0.0000 0.0000 3.4008
Hf In Pd
4 2 4
Cartesian
1.2664 2.4975 0.0000
2.4975 6.2614 0.0000
5.0304 1.2664 0.0000
6.2614 5.0304 0.0000
0.0000 0.0000 1.7004
3.7639 3.7639 1.7004
0.9765 4.7405 1.7004
2.7874 0.9765 1.7004
4.7405 6.5514 1.7004
6.5514 2.7874 1.7004
```

---

[2]
Computed X-ray powder pattern
Compound: HfInRh2
Radiation: Cu Kα (λ = 1.5418 Å)
Structure: a DFT-relaxed cell (GGA-PBE, the Materials Project)
No peak broadening, texture or thermal motion is included.

Peak list (6 most intense, 10° ≤ 2θ ≤ 90°, by intensity)
2θ 39.23, rel. 100; 2θ 71.10, rel. 34; 2θ 56.69, rel. 17; 2θ 84.35, rel. 11; 2θ 23.73, rel. 3; 2θ 27.46, rel. 3

```
HfInRh2
1.0
6.4954 0.0000 0.0000
0.0000 6.4954 0.0000
0.0000 0.0000 6.4954
Hf In Rh
4 4 8
Cartesian
0.0000 0.0000 0.0000
0.0000 3.2477 3.2477
3.2477 0.0000 3.2477
3.2477 3.2477 0.0000
0.0000 0.0000 3.2477
0.0000 3.2477 0.0000
3.2477 0.0000 0.0000
3.2477 3.2477 3.2477
1.6239 1.6239 1.6239
1.6239 1.6239 4.8716
1.6239 4.8716 1.6239
1.6239 4.8716 4.8716
4.8716 1.6239 1.6239
4.8716 1.6239 4.8716
4.8716 4.8716 1.6239
4.8716 4.8716 4.8716
```

---

[3]
Computed X-ray powder pattern
Compound: Hf5In4Rh2
Radiation: Cu Kα (λ = 1.5418 Å)
Structure: a DFT-relaxed cell (GGA-PBE, the Materials Project)
No peak broadening, texture or thermal motion is included.

Peak list (6 most intense, 10° ≤ 2θ ≤ 90°, by intensity)
2θ 35.30, rel. 100; 2θ 36.67, rel. 86; 2θ 38.47, rel. 84; 2θ 37.53, rel. 43; 2θ 35.22, rel. 41; 2θ 36.36, rel. 35

```
Hf5In4Rh2
1.0
7.7226 0.0000 0.0000
0.0000 17.6489 0.0000
0.0000 0.0000 3.3989
Hf In Rh
10 8 4
Cartesian
0.0000 0.0000 0.0000
1.0503 7.4126 0.0000
1.8610 12.7395 0.0000
2.0002 3.9150 0.0000
2.8110 16.2370 0.0000
3.8613 8.8245 0.0000
4.9116 1.4119 0.0000
5.7223 13.7339 0.0000
5.8615 4.9094 0.0000
6.6723 10.2363 0.0000
0.4834 15.0198 1.6994
1.5504 10.0123 1.6994
2.3109 1.1879 1.6994
3.3779 6.1953 1.6994
4.3446 11.4536 1.6994
5.4116 16.4610 1.6994
6.1722 7.6366 1.6994
7.2392 2.6291 1.6994
0.3722 5.4126 1.6994
3.4890 14.2371 1.6994
4.2335 3.4119 1.6994
7.3503 12.2363 1.6994
```

---

[4]
Computed X-ray powder pattern
Compound: Hf10In3Sb3
Radiation: Cu Kα (λ = 1.5418 Å)
Structure: a DFT-relaxed cell (GGA-PBE, the Materials Project)
No peak broadening, texture or thermal motion is included.

Peak list (6 most intense, 10° ≤ 2θ ≤ 90°, by intensity)
2θ 35.93, rel. 100; 2θ 37.81, rel. 81; 2θ 36.72, rel. 52; 2θ 32.25, rel. 36; 2θ 58.53, rel. 24; 2θ 53.73, rel. 22

```
Hf10In3Sb3
1.0
8.4788 0.0000 0.0000
-4.2394 7.3428 0.0000
0.0000 0.0000 5.7487
Hf In Sb
10 3 3
Cartesian
-1.0526 1.8232 0.0000
-3.1899 5.5250 2.8744
2.1053 0.0000 0.0000
1.0495 1.8178 2.8744
0.0000 4.8952 1.4379
0.0000 4.8952 4.3109
4.2394 2.4476 1.4379
4.2394 2.4476 4.3109
6.3798 0.0000 2.8744
3.1868 5.5196 0.0000
-1.6563 2.8688 2.8744
3.3126 0.0000 2.8744
2.5831 4.4740 2.8744
-2.5849 4.4771 0.0000
1.6545 2.8657 0.0000
5.1697 0.0000 0.0000
```

---

[5]
Computed X-ray powder pattern
Compound: HfIr3
Radiation: Cu Kα (λ = 1.5418 Å)
Structure: a DFT-relaxed cell (GGA-PBE, the Materials Project)
No peak broadening, texture or thermal motion is included.

Peak list (5 most intense, 10° ≤ 2θ ≤ 90°, by intensity)
2θ 39.33, rel. 100; 2θ 45.73, rel. 49; 2θ 80.24, rel. 39; 2θ 66.67, rel. 32; 2θ 84.60, rel. 12

```
HfIr3
1.0
3.9680 0.0000 0.0000
0.0000 3.9680 0.0000
0.0000 0.0000 3.9680
Hf Ir
1 3
Cartesian
0.0000 0.0000 0.0000
0.0000 1.9840 1.9840
1.9840 0.0000 1.9840
1.9840 1.9840 0.0000
```

---

[6]
Computed X-ray powder pattern
Compound: LiHf2Ir
Radiation: Cu Kα (λ = 1.5418 Å)
Structure: a DFT-relaxed cell (GGA-PBE, the Materials Project)
No peak broadening, texture or thermal motion is included.

Peak list (6 most intense, 10° ≤ 2θ ≤ 90°, by intensity)
2θ 38.92, rel. 100; 2θ 70.49, rel. 36; 2θ 23.55, rel. 27; 2θ 56.22, rel. 17; 2θ 45.99, rel. 14; 2θ 83.57, rel. 11

```
LiHf2Ir
1.0
6.5446 0.0000 0.0000
0.0000 6.5446 0.0000
0.0000 0.0000 6.5446
Li Hf Ir
4 8 4
Cartesian
0.0000 0.0000 0.0000
0.0000 3.2723 3.2723
3.2723 0.0000 3.2723
3.2723 3.2723 0.0000
1.6361 1.6361 1.6361
1.6361 1.6361 4.9084
1.6361 4.9084 1.6361
1.6361 4.9084 4.9084
4.9084 1.6361 1.6361
4.9084 1.6361 4.9084
4.9084 4.9084 1.6361
4.9084 4.9084 4.9084
0.0000 0.0000 3.2723
0.0000 3.2723 0.0000
3.2723 0.0000 0.0000
3.2723 3.2723 3.2723
```